Diffraction record for Rb2LiInCl6. The powder X-ray diffraction pattern is simulated, not measured: it uses a crystal structure in Alexandria, relaxed with PBE and a wavelength of 1.5418 Å.

Largest 10 diffraction maxima, low angle first, 2θ = 10–90°:
two_theta  I_rel  hkl
14.88  71  1 0 -2
24.40  100  2 0 -2
28.76  28  2 1 -1
30.02  66  0 2 2
34.61  42  0 0 4
34.89  79  2 2 -2
43.02  40  3 1 -1
49.96  51  2 2 -6
50.18  24  0 4 0
62.39  24  0 4 4

Structure:
```
20
Lattice="7.278 0.000 0.000 0.000 7.267 0.000 -7.270 0.000 10.368" Properties=species:S:1:pos:R:3 pbc="T T T"
Rb -0.014 0.094 2.590
Rb -3.649 3.539 7.774
Rb 3.657 3.728 2.594
Rb 0.022 7.173 7.778
Li -3.635 0.000 5.184
Li 0.000 3.634 0.000
In 3.639 0.000 0.000
In 0.004 3.634 5.184
Cl -5.592 1.629 10.223
Cl -1.956 2.004 5.039
Cl -5.260 5.305 10.238
Cl -1.625 5.596 5.054
Cl 0.194 3.637 2.637
Cl -3.441 7.263 7.821
Cl 3.449 0.004 2.547
Cl -0.186 3.630 7.731
Cl 1.633 1.672 5.314
Cl 5.269 1.962 0.130
Cl 1.964 5.263 5.328
Cl 5.600 5.638 0.145
```